Diffraction record for CeNd5Te4. The XRD peak list is computed, not measured: it uses a GGA-PBE-relaxed structure and Cu Ka.
Peak positions follow from Bragg's law for the DFT cell and can differ from measured ones.

Principal peaks in the range 10 to 80 degrees two-theta, in order of rising 2θ:
22.1°, intensity 65.1; 23.8°, intensity 33.4; 28.8°, intensity 100.0; 34.8°, intensity 97.4; 35.6°, intensity 33.0; 40.9°, intensity 34.0

Crystal structure
a b c (Å): 9.4147 10.1659 7.7341
angles (deg): 90.00 90.00 90.00
Atoms (fractional coordinates):
Ce: 0.2500 0.2500 0.1384
Ce: 0.7500 0.7500 0.8616
Nd: 0.0476 0.0578 0.7571
Nd: 0.0476 0.4422 0.7571
Nd: 0.2500 0.7500 0.7774
Nd: 0.4524 0.0578 0.7571
Nd: 0.4524 0.4422 0.7571
Nd: 0.5476 0.5578 0.2429
Nd: 0.5476 0.9422 0.2429
Nd: 0.7500 0.2500 0.2226
Nd: 0.9524 0.5578 0.2429
Nd: 0.9524 0.9422 0.2429
Te: 0.0245 0.2500 0.4366
Te: 0.2500 0.5441 0.0652
Te: 0.2500 0.9559 0.0652
Te: 0.4755 0.2500 0.4366
Te: 0.5245 0.7500 0.5634
Te: 0.7500 0.0441 0.9348
Te: 0.7500 0.4559 0.9348
Te: 0.9755 0.7500 0.5634

***

Diffraction record for CeNdTe2. The XRD peak list is computed, not measured: it uses a GGA-PBE-relaxed structure and Cu Ka.
Peak positions follow from Bragg's law for the DFT cell and can differ from measured ones.

Principal peaks in the range 10 to 80 degrees two-theta, in order of rising 2θ:
28.1°, intensity 100.0; 40.1°, intensity 76.4; 49.7°, intensity 27.4; 58.0°, intensity 12.9; 65.7°, intensity 35.3; 72.9°, intensity 26.0

Crystal structure
a b c (Å): 6.3577 6.3575 14.2127
angles (deg): 90.00 116.53 90.00
Atoms (fractional coordinates):
Ce: 0.1250 0.2493 0.1250
Ce: 0.1250 0.7507 0.6250
Ce: 0.8750 0.2493 0.3750
Ce: 0.8750 0.7507 0.8750
Nd: 0.3750 0.2507 0.8750
Nd: 0.3750 0.7493 0.3750
Nd: 0.6250 0.2507 0.6250
Nd: 0.6250 0.7493 0.1250
Te: 0.1243 0.2507 0.6243
Te: 0.1243 0.7493 0.1243
Te: 0.3743 0.2494 0.3743
Te: 0.3743 0.7506 0.8743
Te: 0.6257 0.2494 0.1257
Te: 0.6257 0.7506 0.6257
Te: 0.8757 0.2507 0.8757
Te: 0.8757 0.7493 0.3757

***

Diffraction record for Ce3Nd3YTe8. The XRD peak list is computed, not measured: it uses a GGA-PBE-relaxed structure and Cu Ka.
Peak positions follow from Bragg's law for the DFT cell and can differ from measured ones.

Principal peaks in the range 10 to 80 degrees two-theta, in order of rising 2θ:
28.2°, intensity 100.0; 40.2°, intensity 38.3; 40.4°, intensity 37.9; 49.9°, intensity 20.4; 65.8°, intensity 17.6; 66.1°, intensity 17.4

Crystal structure
a b c (Å): 8.9779 8.9779 8.9779
angles (deg): 59.72 59.72 59.72
Atoms (fractional coordinates):
Ce: 0.0000 0.5000 0.5000
Ce: 0.5000 0.0000 0.5000
Ce: 0.5000 0.5000 0.0000
Nd: 0.0000 0.0000 0.5000
Nd: 0.0000 0.5000 0.0000
Nd: 0.5000 0.0000 0.0000
Y: 0.5000 0.5000 0.5000
Te: 0.2501 0.2501 0.2501
Te: 0.2508 0.2508 0.7492
Te: 0.2508 0.7492 0.2508
Te: 0.2508 0.7492 0.7492
Te: 0.7492 0.2508 0.2508
Te: 0.7492 0.2508 0.7492
Te: 0.7492 0.7492 0.2508
Te: 0.7499 0.7499 0.7499

***

Diffraction record for CeNd2Tl4. The XRD peak list is computed, not measured: it uses a GGA-PBE-relaxed structure and Cu Ka.
Peak positions follow from Bragg's law for the DFT cell and can differ from measured ones.

Principal peaks in the range 10 to 80 degrees two-theta, in order of rising 2θ:
23.0°, intensity 11.6; 32.8°, intensity 54.2; 33.3°, intensity 100.0; 47.1°, intensity 20.1; 58.9°, intensity 39.7; 59.8°, intensity 16.6

Crystal structure
a b c (Å): 8.4435 8.4435 8.4435
angles (deg): 142.27 142.27 54.42
Atoms (fractional coordinates):
Ce: 0.0000 0.0000 0.0000
Nd: 0.2566 0.2566 0.0000
Nd: 0.7434 0.7434 0.0000
Tl: 0.1156 0.6156 0.5000
Tl: 0.3844 0.8844 0.5000
Tl: 0.6156 0.1156 0.5000
Tl: 0.8844 0.3844 0.5000

***

Diffraction record for Ce2Nd3Tl6. The XRD peak list is computed, not measured: it uses a GGA-PBE-relaxed structure and Cu Ka.
Peak positions follow from Bragg's law for the DFT cell and can differ from measured ones.

Principal peaks in the range 10 to 80 degrees two-theta, in order of rising 2θ:
29.0°, intensity 100.0; 32.1°, intensity 29.7; 36.0°, intensity 72.6; 37.5°, intensity 66.3; 54.1°, intensity 23.3; 66.7°, intensity 24.6

Crystal structure
a b c (Å): 15.1034 15.1034 15.1034
angles (deg): 161.73 161.73 25.95
Atoms (fractional coordinates):
Ce: 0.0437 0.0437 0.0000
Ce: 0.9563 0.9563 0.0000
Nd: 0.2996 0.2996 0.0000
Nd: 0.5000 0.5000 0.0000
Nd: 0.7004 0.7004 0.0000
Tl: 0.1150 0.6150 0.5000
Tl: 0.1920 0.1920 0.0000
Tl: 0.3850 0.8850 0.5000
Tl: 0.6150 0.1150 0.5000
Tl: 0.8080 0.8080 0.0000
Tl: 0.8850 0.3850 0.5000

***

Diffraction record for Ce6NdTl6. The XRD peak list is computed, not measured: it uses a GGA-PBE-relaxed structure and Cu Ka.
Peak positions follow from Bragg's law for the DFT cell and can differ from measured ones.

Principal peaks in the range 10 to 80 degrees two-theta, in order of rising 2θ:
26.1°, intensity 32.4; 30.0°, intensity 66.5; 31.1°, intensity 65.7; 33.3°, intensity 36.0; 33.6°, intensity 29.7; 35.4°, intensity 100.0

Crystal structure
a b c (Å): 6.3258 6.3258 10.7612
angles (deg): 90.00 90.00 114.80
Atoms (fractional coordinates):
Ce: 0.0000 0.0000 0.2034
Ce: 0.0000 0.0000 0.7966
Ce: 0.0000 0.5000 0.2720
Ce: 0.0000 0.5000 0.7280
Ce: 0.5000 0.0000 0.2720
Ce: 0.5000 0.0000 0.7280
Nd: 0.5000 0.5000 0.5000
Tl: 0.1400 0.8600 0.5000
Tl: 0.2581 0.7419 0.0000
Tl: 0.5000 0.5000 0.1870
Tl: 0.5000 0.5000 0.8130
Tl: 0.7419 0.2581 0.0000
Tl: 0.8600 0.1400 0.5000

***

Diffraction record for CeNdTm2. The XRD peak list is computed, not measured: it uses a GGA-PBE-relaxed structure and Cu Ka.
Peak positions follow from Bragg's law for the DFT cell and can differ from measured ones.

Principal peaks in the range 10 to 80 degrees two-theta, in order of rising 2θ:
31.0°, intensity 100.0; 35.6°, intensity 34.6; 36.6°, intensity 16.0; 52.0°, intensity 23.6; 61.1°, intensity 29.0; 62.4°, intensity 13.6

Crystal structure
a b c (Å): 5.0464 5.0464 4.9108
angles (deg): 90.00 90.00 90.00
Atoms (fractional coordinates):
Ce: 0.0000 0.0000 0.0000
Nd: 0.5000 0.5000 0.0000
Tm: 0.0000 0.5000 0.5000
Tm: 0.5000 0.0000 0.5000

***

Diffraction record for CeNdTm3. The XRD peak list is computed, not measured: it uses a GGA-PBE-relaxed structure and Cu Ka.
Peak positions follow from Bragg's law for the DFT cell and can differ from measured ones.

Principal peaks in the range 10 to 80 degrees two-theta, in order of rising 2θ:
30.9°, intensity 100.0; 31.1°, intensity 98.7; 35.9°, intensity 67.1; 36.0°, intensity 33.4; 51.8°, intensity 35.4; 61.6°, intensity 28.0

Crystal structure
a b c (Å): 6.1122 6.1347 9.3320
angles (deg): 108.84 102.62 99.88
Atoms (fractional coordinates):
Ce: 0.2406 0.1916 0.1442
Ce: 0.7594 0.8084 0.8558
Nd: 0.2465 0.7990 0.3468
Nd: 0.7535 0.2010 0.6532
Tm: 0.2521 0.5986 0.9492
Tm: 0.2523 0.9954 0.7531
Tm: 0.2533 0.4029 0.5499
Tm: 0.7467 0.5971 0.4501
Tm: 0.7477 0.0046 0.2469
Tm: 0.7479 0.4014 0.0508

***

Diffraction record for CeNd4Tm10. The XRD peak list is computed, not measured: it uses a GGA-PBE-relaxed structure and Cu Ka.
Peak positions follow from Bragg's law for the DFT cell and can differ from measured ones.

Principal peaks in the range 10 to 80 degrees two-theta, in order of rising 2θ:
27.6°, intensity 55.8; 31.1°, intensity 54.6; 32.0°, intensity 91.8; 32.1°, intensity 100.0; 34.0°, intensity 45.8; 41.2°, intensity 69.7

Crystal structure
a b c (Å): 8.8216 8.8216 8.8216
angles (deg): 101.67 101.67 126.54
Atoms (fractional coordinates):
Ce: 0.0000 0.0000 0.0000
Nd: 0.2259 0.2259 0.4519
Nd: 0.2259 0.7741 0.0000
Nd: 0.7741 0.2259 0.0000
Nd: 0.7741 0.7741 0.5481
Tm: 0.0891 0.2949 0.7942
Tm: 0.2500 0.7500 0.5000
Tm: 0.2949 0.0891 0.7942
Tm: 0.2949 0.5008 0.2058
Tm: 0.4992 0.7051 0.7942
Tm: 0.5008 0.2949 0.2058
Tm: 0.7051 0.4992 0.7942
Tm: 0.7051 0.9109 0.2058
Tm: 0.7500 0.2500 0.5000
Tm: 0.9109 0.7051 0.2058

***

Diffraction record for CeNd2Y5Tm. The XRD peak list is computed, not measured: it uses a GGA-PBE-relaxed structure and Cu Ka.
Peak positions follow from Bragg's law for the DFT cell and can differ from measured ones.

Principal peaks in the range 10 to 80 degrees two-theta, in order of rising 2θ:
28.8°, intensity 68.1; 29.4°, intensity 49.9; 30.7°, intensity 100.0; 38.2°, intensity 20.9; 43.7°, intensity 22.7; 53.0°, intensity 21.5

Crystal structure
a b c (Å): 9.9696 9.9696 9.9696
angles (deg): 129.01 129.01 74.99
Atoms (fractional coordinates):
Ce: 0.2500 0.7500 0.5000
Ce: 0.7500 0.2500 0.5000
Nd: 0.1208 0.6208 0.7416
Nd: 0.3792 0.1208 0.5000
Nd: 0.6208 0.8792 0.5000
Nd: 0.8792 0.3792 0.2584
Y: 0.0000 0.0000 0.0000
Y: 0.0620 0.1551 0.5000
Y: 0.1551 0.6551 0.0930
Y: 0.3449 0.4380 0.5000
Y: 0.4380 0.9380 0.0930
Y: 0.5000 0.5000 0.0000
Y: 0.5620 0.0620 0.9070
Y: 0.6551 0.5620 0.5000
Y: 0.8449 0.3449 0.9070
Y: 0.9380 0.8449 0.5000
Tm: 0.2500 0.2500 0.0000
Tm: 0.7500 0.7500 0.0000

***

Diffraction record for CeNdY2Tm. The XRD peak list is computed, not measured: it uses a GGA-PBE-relaxed structure and Cu Ka.
Peak positions follow from Bragg's law for the DFT cell and can differ from measured ones.

Principal peaks in the range 10 to 80 degrees two-theta, in order of rising 2θ:
23.1°, intensity 28.6; 26.9°, intensity 27.4; 30.3°, intensity 100.0; 31.0°, intensity 72.3; 35.0°, intensity 48.6; 48.7°, intensity 29.2

Crystal structure
a b c (Å): 5.8550 7.7140 7.3305
angles (deg): 90.00 90.00 90.00
Atoms (fractional coordinates):
Ce: 0.0000 0.0000 0.0000
Ce: 0.5000 0.0000 0.0000
Nd: 0.2500 0.5000 0.1607
Nd: 0.7500 0.5000 0.8393
Y: 0.2500 0.2881 0.6734
Y: 0.2500 0.7119 0.6734
Y: 0.7500 0.2881 0.3266
Y: 0.7500 0.7119 0.3266
Tm: 0.2500 0.0000 0.3818
Tm: 0.7500 0.0000 0.6182

***

Diffraction record for CeNd3Y12. The XRD peak list is computed, not measured: it uses a GGA-PBE-relaxed structure and Cu Ka.
Peak positions follow from Bragg's law for the DFT cell and can differ from measured ones.

Principal peaks in the range 10 to 80 degrees two-theta, in order of rising 2θ:
30.5°, intensity 100.0; 35.3°, intensity 50.1; 50.8°, intensity 34.9; 60.4°, intensity 27.4; 60.5°, intensity 13.5; 63.4°, intensity 11.7

Crystal structure
a b c (Å): 5.0873 5.0873 20.3063
angles (deg): 90.00 90.00 90.00
Atoms (fractional coordinates):
Ce: 0.0000 0.0000 0.0000
Nd: 0.0000 0.0000 0.2480
Nd: 0.0000 0.0000 0.5000
Nd: 0.0000 0.0000 0.7520
Y: 0.0000 0.5000 0.1223
Y: 0.0000 0.5000 0.3741
Y: 0.0000 0.5000 0.6259
Y: 0.0000 0.5000 0.8777
Y: 0.5000 0.0000 0.1223
Y: 0.5000 0.0000 0.3741
Y: 0.5000 0.0000 0.6259
Y: 0.5000 0.0000 0.8777
Y: 0.5000 0.5000 0.0000
Y: 0.5000 0.5000 0.2492
Y: 0.5000 0.5000 0.5000
Y: 0.5000 0.5000 0.7508

***

Diffraction record for CeNd5Y12. The XRD peak list is computed, not measured: it uses a GGA-PBE-relaxed structure and Cu Ka.
Peak positions follow from Bragg's law for the DFT cell and can differ from measured ones.

Principal peaks in the range 10 to 80 degrees two-theta, in order of rising 2θ:
11.6°, intensity 5.5; 30.4°, intensity 100.0; 35.2°, intensity 50.2; 50.6°, intensity 35.1; 60.2°, intensity 41.4; 63.2°, intensity 11.9

Crystal structure
a b c (Å): 10.8158 10.8158 5.1021
angles (deg): 90.00 90.00 90.08
Atoms (fractional coordinates):
Ce: 0.0000 0.0000 0.0000
Nd: 0.1641 0.8359 0.5000
Nd: 0.3335 0.6665 0.0000
Nd: 0.5000 0.5000 0.5000
Nd: 0.6665 0.3335 0.0000
Nd: 0.8359 0.1641 0.5000
Y: 0.0006 0.3330 0.0000
Y: 0.1655 0.1655 0.5000
Y: 0.1662 0.4992 0.5000
Y: 0.3320 0.3320 0.0000
Y: 0.3330 0.0006 0.0000
Y: 0.4992 0.1662 0.5000
Y: 0.5008 0.8338 0.5000
Y: 0.6670 0.9994 0.0000
Y: 0.6680 0.6680 0.0000
Y: 0.8338 0.5008 0.5000
Y: 0.8345 0.8345 0.5000
Y: 0.9994 0.6670 0.0000